Starting from a cell relaxed with GGA+U, the powder X-ray diffraction pattern of Sr16Mn8O29 was computed for Cu Kα.
Intensities are scaled so that the largest is 100.

Atomic structure:
```
data_Sr16Mn8O29
_cell_length_a 9.4919
_cell_length_b 9.5298
_cell_length_c 9.7555
_cell_angle_alpha 79.79
_cell_angle_beta 79.39
_cell_angle_gamma 78.48
_space_group_name_H-M_alt 'P 1'
_space_group_IT_number 1
loop_
_space_group_symop_operation_xyz
'x,y,z'
loop_
_atom_site_label
_atom_site_fract_x
_atom_site_fract_y
_atom_site_fract_z
_atom_site_occupancy
Sr1 0.0000 0.0000 0.0000 1
Sr2 0.0076 0.0188 0.6221 1
Sr3 0.0259 0.6295 0.0448 1
Sr4 0.2077 0.6792 0.3011 1
Sr5 0.2610 0.2467 0.7183 1
Sr6 0.3049 0.3075 0.3441 1
Sr7 0.3253 0.7869 0.7970 1
Sr8 0.3743 0.9830 0.0742 1
Sr9 0.4664 0.5391 0.5343 1
Sr10 0.4935 0.5414 0.0665 1
Sr11 0.5503 0.0203 0.5640 1
Sr12 0.6617 0.1117 0.8368 1
Sr13 0.6877 0.6996 0.2529 1
Sr14 0.7077 0.3152 0.3578 1
Sr15 0.7436 0.7294 0.7960 1
Sr16 0.9220 0.4274 0.5569 1
Mn1 0.0511 0.1262 0.2684 1
Mn2 0.1219 0.6154 0.6826 1
Mn3 0.2036 0.3445 0.9879 1
Mn4 0.2933 0.9166 0.4346 1
Mn5 0.4848 0.4047 0.8304 1
Mn6 0.7005 0.0446 0.2178 1
Mn7 0.8404 0.3681 0.9320 1
Mn8 0.8877 0.8171 0.4490 1
O1 0.0287 0.4244 0.8950 1
O2 0.0432 0.7662 0.8053 1
O3 0.0505 0.9146 0.3930 1
O4 0.1342 0.1648 0.0636 1
O5 0.1909 0.4613 0.5560 1
O6 0.2180 0.8121 0.0445 1
O7 0.2235 0.4602 0.1387 1
O8 0.2482 0.0853 0.2984 1
O9 0.2714 0.7441 0.5646 1
O10 0.2772 0.0327 0.5914 1
O11 0.2800 0.4966 0.8209 1
O12 0.3979 0.2358 0.9287 1
O13 0.4195 0.8126 0.2950 1
O14 0.4763 0.4771 0.3038 1
O15 0.5215 0.9148 0.8314 1
O16 0.5271 0.2683 0.6367 1
O17 0.5444 0.5864 0.7756 1
O18 0.5478 0.1507 0.3084 1
O19 0.6424 0.3344 0.9438 1
O20 0.7127 0.9023 0.3696 1
O21 0.7199 0.5243 0.4479 1
O22 0.7391 0.9530 0.0610 1
O23 0.7670 0.5431 0.0319 1
O24 0.7958 0.9307 0.6047 1
O25 0.8606 0.1364 0.1911 1
O26 0.9140 0.2076 0.8075 1
O27 0.9457 0.7098 0.2948 1
O28 0.9470 0.6657 0.5920 1
O29 0.9693 0.2285 0.4239 1
```

Peak list (8 most intense, 10 to 90 degrees two-theta, by angle)
index, 2θ/deg, I/Imax
2 0 2, 24.84, 55.0
0 2 -2, 28.88, 100.0
2 0 -2, 29.09, 87.7
2 -2 0, 29.70, 70.3
2 1 3, 30.94, 72.7
2 3 1, 31.30, 84.7
0 3 3, 37.68, 62.5
4 1 1, 38.02, 42.5